Structure and computed XRD peak list of BW2 (a DFT-relaxed cell (GGA-PBE, the Materials Project); a wavelength of 1.5418 Å).
No peak broadening, texture or thermal motion is included.

Largest 8 diffraction maxima, low angle first, 10° ≤ 2θ ≤ 90°:
Position (°2θ)  I (rel.)
32.0  23
37.5  27
40.7  100
50.1  16
51.7  11
69.8  21
72.4  22
83.7  12

Structural model:
```
12
Lattice="5.592 0.000 0.000 0.000 5.592 0.000 0.000 0.000 4.797" Properties=species:S:1:pos:R:3 pbc="T T T"
B 0.000 0.000 1.199
B 0.000 0.000 3.598
B 2.796 2.796 1.199
B 2.796 2.796 3.598
W 0.952 1.844 0.000
W 0.952 3.748 2.398
W 1.844 0.952 2.398
W 1.844 4.640 0.000
W 3.748 0.952 0.000
W 3.748 4.640 2.398
W 4.640 1.844 2.398
W 4.640 3.748 0.000
```

Structure and computed XRD peak list of Pr6RuBr10 (a DFT-relaxed cell (GGA-PBE, the Materials Project); a wavelength of 1.5418 Å).
No peak broadening, texture or thermal motion is included.

Largest 8 diffraction maxima, low angle first, 10° ≤ 2θ ≤ 90°:
Position (°2θ)  I (rel.)
10.6  28
28.8  100
30.0  41
40.5  16
41.1  18
41.2  20
42.2  17
43.6  16

Structural model:
```
17
Lattice="7.744 0.000 0.000 -2.726 9.058 0.000 -1.189 -3.706 8.993" Properties=species:S:1:pos:R:3 pbc="T T T"
Pr -0.865 0.401 3.698
Pr -0.771 4.068 2.245
Pr 0.315 3.334 6.217
Pr 3.515 2.018 2.775
Pr 4.600 1.284 6.747
Pr 4.694 4.951 5.295
Ru -1.957 2.676 4.496
Br -2.063 6.645 2.981
Br 0.674 1.608 1.349
Br -0.763 1.752 8.554
Br -0.771 5.891 6.972
Br 1.878 0.812 5.204
Br 1.951 4.540 3.789
Br 4.600 -0.539 2.020
Br 4.592 3.600 0.439
Br 3.155 3.744 7.644
Br 5.893 -1.293 6.011
```

Structure and computed XRD peak list of SmSb2 (a DFT-relaxed cell (GGA-PBE, the Materials Project); a wavelength of 1.5418 Å).
No peak broadening, texture or thermal motion is included.

Largest 8 diffraction maxima, low angle first, 10° ≤ 2θ ≤ 90°:
Position (°2θ)  I (rel.)
29.7  40
30.4  49
32.4  100
35.1  44
36.2  28
41.4  54
59.5  20
69.4  23

Structural model:
```
12
Lattice="3.107 -3.110 0.000 3.107 3.110 0.000 0.000 0.000 18.038" Properties=species:S:1:pos:R:3 pbc="T T T"
Sm 3.107 2.242 16.046
Sm 3.107 0.868 7.027
Sm 3.107 -0.868 11.011
Sm 3.107 -2.242 1.992
Sb 1.554 0.781 13.529
Sb 3.107 2.270 10.177
Sb 3.107 0.840 1.158
Sb 1.554 -0.781 4.510
Sb 4.661 0.781 13.529
Sb 3.107 -0.840 16.880
Sb 3.107 -2.270 7.861
Sb 4.661 -0.781 4.510
```

Structure and computed XRD peak list of Np3Tl (a DFT-relaxed cell (GGA-PBE, the Materials Project); a wavelength of 1.5418 Å).
No peak broadening, texture or thermal motion is included.

Largest 6 diffraction maxima, low angle first, 10° ≤ 2θ ≤ 90°:
Position (°2θ)  I (rel.)
33.4  100
38.8  51
56.0  36
66.8  42
70.1  12
83.1  6

Structural model:
```
4
Lattice="4.647 0.000 0.000 0.000 4.647 0.000 0.000 0.000 4.647" Properties=species:S:1:pos:R:3 pbc="T T T"
Np 0.000 0.000 2.324
Np 0.000 2.324 0.000
Np 2.324 0.000 0.000
Tl 2.324 2.324 2.324
```

Structure and computed XRD peak list of Na8Cu5O10 (a DFT-relaxed cell (GGA-PBE, the Materials Project); a wavelength of 1.5418 Å).
No peak broadening, texture or thermal motion is included.

Largest 8 diffraction maxima, low angle first, 10° ≤ 2θ ≤ 90°:
Position (°2θ)  I (rel.)
16.7  55
22.8  87
22.9  100
33.0  37
33.3  36
39.9  34
43.2  46
45.2  54

Structural model:
```
23
Lattice="4.188 -7.043 0.000 4.188 7.043 0.000 -2.138 0.000 5.312" Properties=species:S:1:pos:R:3 pbc="T T T"
Na 0.000 0.000 0.000
Na 2.536 5.091 1.652
Na 2.162 1.559 1.465
Na 4.538 3.119 0.265
Na 2.162 -1.559 1.465
Na 4.656 0.000 0.299
Na 2.536 -5.091 1.652
Na 4.538 -3.120 0.265
Cu 0.275 1.407 3.658
Cu 0.275 -1.407 3.658
Cu 4.441 2.804 3.507
Cu 4.337 0.000 3.358
Cu 4.441 -2.804 3.507
O 0.210 2.915 4.861
O 0.266 0.000 2.335
O 0.196 0.000 4.973
O 4.575 4.250 2.322
O 0.210 -2.915 4.861
O 4.453 1.506 2.122
O 4.294 1.392 4.733
O 4.453 -1.506 2.122
O 4.294 -1.392 4.733
O 4.575 -4.250 2.322
```

Structure and computed XRD peak list of OsClF8 (a DFT-relaxed cell (GGA-PBE, the Materials Project); a wavelength of 1.5418 Å).
No peak broadening, texture or thermal motion is included.

Largest 8 diffraction maxima, low angle first, 10° ≤ 2θ ≤ 90°:
Position (°2θ)  I (rel.)
15.5  78
16.7  57
16.9  60
21.4  88
22.9  100
23.0  99
26.2  43
38.3  59

Structural model:
```
20
Lattice="6.809 0.000 0.000 0.000 5.712 0.000 -6.728 0.000 8.318" Properties=species:S:1:pos:R:3 pbc="T T T"
Os -1.682 0.173 2.080
Os -5.046 5.539 6.239
Cl 1.722 1.860 2.080
Cl -1.641 3.851 6.239
F -5.281 1.200 7.556
F -1.917 4.512 3.397
F -1.898 1.481 3.447
F -5.262 4.230 7.606
F 0.217 0.163 2.404
F -3.146 5.548 6.564
F -2.815 2.760 6.527
F 0.549 2.951 2.367
F -0.468 2.760 5.951
F 2.896 2.951 1.792
F 3.227 0.163 1.755
F -0.136 5.548 5.914
F 5.343 1.481 0.713
F 1.980 4.230 4.872
F 1.998 1.200 4.921
F 5.362 4.512 0.762
```

Structure and computed XRD peak list of HoSiNi4 (a DFT-relaxed cell (GGA-PBE, the Materials Project); a wavelength of 1.5418 Å).
No peak broadening, texture or thermal motion is included.

Largest 8 diffraction maxima, low angle first, 10° ≤ 2θ ≤ 90°:
Position (°2θ)  I (rel.)
30.8  38
31.6  57
37.6  54
42.1  41
42.5  86
44.3  100
46.0  44
60.9  31

Structural model:
```
12
Lattice="5.047 0.000 0.000 0.000 8.151 0.000 0.000 0.000 3.947" Properties=species:S:1:pos:R:3 pbc="T T T"
Ho 0.000 0.000 0.000
Ho 2.523 4.075 0.000
Si 0.000 4.075 1.973
Si 2.523 0.000 1.973
Ni 0.000 2.794 0.000
Ni 0.000 5.357 0.000
Ni 1.262 2.038 1.973
Ni 1.262 6.113 1.973
Ni 2.523 1.282 0.000
Ni 2.523 6.869 0.000
Ni 3.785 2.038 1.973
Ni 3.785 6.113 1.973
```

Structure and computed XRD peak list of PmCdCu2 (a DFT-relaxed cell (GGA-PBE, the Materials Project); a wavelength of 1.5418 Å).
No peak broadening, texture or thermal motion is included.

Largest 8 diffraction maxima, low angle first, 10° ≤ 2θ ≤ 90°:
Position (°2θ)  I (rel.)
26.3  12
37.6  100
46.4  3
54.2  17
61.2  5
67.8  33
80.2  10
86.1  3

Structural model:
```
16
Lattice="6.774 0.000 0.000 0.000 6.774 0.000 0.000 0.000 6.774" Properties=species:S:1:pos:R:3 pbc="T T T"
Pm 0.000 0.000 0.000
Pm 0.000 3.387 3.387
Pm 3.387 0.000 3.387
Pm 3.387 3.387 0.000
Cd 0.000 0.000 3.387
Cd 0.000 3.387 0.000
Cd 3.387 0.000 0.000
Cd 3.387 3.387 3.387
Cu 1.693 1.693 1.693
Cu 1.693 1.693 5.080
Cu 1.693 5.080 1.693
Cu 1.693 5.080 5.080
Cu 5.080 1.693 1.693
Cu 5.080 1.693 5.080
Cu 5.080 5.080 1.693
Cu 5.080 5.080 5.080
```

Structure and computed XRD peak list of PtPbF6 (a DFT-relaxed cell (GGA-PBE, the Materials Project); a wavelength of 1.5418 Å).
No peak broadening, texture or thermal motion is included.

Largest 8 diffraction maxima, low angle first, 10° ≤ 2θ ≤ 90°:
Position (°2θ)  I (rel.)
23.9  100
28.4  59
37.5  28
42.1  18
45.0  55
49.0  17
57.6  17
64.5  18

Structural model:
```
8
Lattice="3.720 2.148 2.395 -3.720 2.148 2.395 0.000 -4.296 2.395" Properties=species:S:1:pos:R:3 pbc="T T T"
Pt 0.000 0.000 0.000
Pb 0.000 0.000 3.592
F -2.406 -1.389 3.528
F 0.000 -2.778 3.656
F -2.406 1.389 3.656
F 2.406 -1.389 3.528
F 0.000 2.778 3.528
F 2.406 1.389 3.656
```